[1]
The following is a simulated PXRD pattern of Nd4BPCl2. It was derived from DFT lattice parameters and positions (GGA-PBE), using Cu Ka.
Peak positions follow from Bragg's law for the DFT cell and can differ from measured ones.

```
Nd4BPCl2
1.0
7.0489 0.0000 0.0000
0.0000 4.0519 0.0000
-2.3293 0.0000 7.0410
Nd B P Cl
4 1 1 2
Cartesian
1.0627 0.0000 1.4428
-0.0957 2.0259 5.5626
4.8153 2.0259 1.4785
3.6569 0.0000 5.5983
0.0000 2.0259 0.0000
3.5244 0.0000 0.0000
-1.1646 0.0000 3.5205
2.3598 2.0259 3.5205
```

Principal peaks in the range 10 to 90 degrees two-theta, low angle first:
2θ 25.3, intensity 19
2θ 26.6, intensity 22
2θ 26.8, intensity 45
2θ 30.5, intensity 100
2θ 39.3, intensity 11
2θ 42.9, intensity 18
2θ 44.6, intensity 24
2θ 44.7, intensity 13
2θ 52.0, intensity 11
2θ 55.1, intensity 12

***

[2]
The following is a simulated PXRD pattern of TlSe5. It was derived from DFT lattice parameters and positions (GGA-PBE), using Cu Ka.
Peak positions follow from Bragg's law for the DFT cell and can differ from measured ones.

```
TlSe5
1.0
7.3267 -1.8655 0.0000
7.3267 1.8655 0.0000
-3.5269 0.0000 6.5861
Tl Se
1 5
Cartesian
0.0000 0.0000 0.0000
3.6192 0.0000 1.1592
1.2175 0.0000 5.7176
6.6107 0.0000 3.7225
8.5195 0.0000 2.3494
12.4477 0.0000 2.5994
```

Principal peaks in the range 10 to 90 degrees two-theta, low angle first:
2θ 13.4, intensity 28
2θ 23.8, intensity 47
2θ 26.7, intensity 29
2θ 28.1, intensity 28
2θ 29.9, intensity 51
2θ 31.7, intensity 100
2θ 36.3, intensity 26
2θ 40.6, intensity 25
2θ 48.8, intensity 24
2θ 51.6, intensity 24

***

[3]
The following is a simulated PXRD pattern of CuAg6Pd2. It was derived from DFT lattice parameters and positions (GGA-PBE), using Cu Ka.
Peak positions follow from Bragg's law for the DFT cell and can differ from measured ones.

```
CuAg6Pd2
1.0
5.1986 -4.8515 0.0000
5.1986 4.8515 0.0000
-4.3245 0.0000 6.0572
Cu Ag Pd
2 12 4
Cartesian
1.9552 3.4411 4.5429
4.1175 -3.4411 1.5143
2.7476 3.8055 1.9152
1.7396 1.3084 0.8731
5.4873 3.8055 1.1134
4.5228 1.1986 0.1560
-0.4227 -1.3084 3.9017
3.7122 1.1986 2.8726
2.3605 -1.1986 3.1846
6.4954 1.3084 2.1555
1.5499 -1.1986 5.9012
0.5854 -3.8055 4.9438
4.3331 -1.3084 5.1841
3.3251 -3.8055 4.1420
0.8955 1.2224 3.5180
3.0577 -1.2224 0.4894
3.0150 1.2224 5.5678
5.1772 -1.2224 2.5392
```

Principal peaks in the range 10 to 90 degrees two-theta, low angle first:
2θ 37.1, intensity 62
2θ 37.9, intensity 62
2θ 38.1, intensity 61
2θ 40.6, intensity 100
2θ 46.5, intensity 33
2θ 46.7, intensity 32
2θ 60.9, intensity 13
2θ 61.0, intensity 13
2θ 69.2, intensity 16
2θ 70.0, intensity 18

***

[4]
The following is a simulated PXRD pattern of Pm4Si2C. It was derived from DFT lattice parameters and positions (GGA-PBE), using Cu Ka.
Peak positions follow from Bragg's law for the DFT cell and can differ from measured ones.

```
Pm4Si2C
1.0
6.9309 0.0000 0.0000
0.0000 6.5525 0.0000
-2.7414 0.0000 8.1641
Pm Si C
8 4 2
Cartesian
-0.5968 0.0034 2.0342
-0.5968 3.2729 2.0342
1.4270 1.6381 4.8193
2.7324 1.6381 1.0710
1.4570 4.9144 7.0931
2.7625 4.9144 3.3447
4.7863 3.2797 6.1299
4.7863 6.5492 6.1299
-0.0182 4.9144 4.5328
1.6212 4.9144 0.5108
2.5682 1.6381 7.6533
4.2077 1.6381 3.6313
0.9153 1.6381 2.5382
3.2741 4.9144 5.6258
```

Principal peaks in the range 10 to 90 degrees two-theta, low angle first:
2θ 25.7, intensity 46
2θ 27.1, intensity 38
2θ 29.0, intensity 34
2θ 29.2, intensity 34
2θ 30.5, intensity 100
2θ 32.1, intensity 22
2θ 32.3, intensity 21
2θ 35.1, intensity 55
2θ 42.0, intensity 23
2θ 52.7, intensity 17